For GdSi2Ni, a crystal structure in the Materials Project, relaxed with GGA-PBE gives the calculated powder diffractogram in this record (Cu Kα).
Neutral-atom scattering factors, no anomalous dispersion.

Peak list (10 most intense, 2θ from 10° to 90°, low angle first)
d_spacing	2θ/deg	Rel. int.	index
4.002	22.21	31.6	0 4 0
3.550	25.08	30.8	0 2 1
2.767	32.35	79.7	1 1 1
2.496	35.98	76.2	1 5 0
2.486	36.13	100.0	1 3 1
2.213	40.78	36.9	0 6 1
1.992	45.53	32.9	2 0 0
1.981	45.81	32.3	0 0 2
1.625	56.65	31.7	1 9 0
1.551	59.59	34.5	1 5 2

Cell and atoms:
Unit cell a=3.985 b=16.008 c=3.961 alpha=90.00 beta=90.00 gamma=90.00
Space group Cmcm (No. 63)
Symmetry-distinct sites (fractional):
Gd (0.000, 0.106, 0.250) (multiplicity 4)
Si (0.000, 0.250, 0.750) (multiplicity 4)
Si (0.000, 0.460, 0.250) (multiplicity 4)
Ni (0.000, 0.321, 0.250) (multiplicity 4)

For TbCdHg2, a crystal structure in the Materials Project, relaxed with GGA-PBE gives the calculated powder diffractogram in this record (Cu Kα).
Neutral-atom scattering factors, no anomalous dispersion.

Peak list (10 most intense, 2θ from 10° to 90°, low angle first)
d_spacing	2θ/deg	Rel. int.	index
4.175	21.28	0.9	1 1 1
3.616	24.62	4.2	2 0 0
2.557	35.10	100.0	2 2 0
2.088	43.34	1.4	2 2 2
1.808	50.48	17.9	4 0 0
1.617	56.95	2.0	4 2 0
1.476	62.97	36.9	4 2 2
1.278	74.18	11.5	4 4 0
1.205	79.53	1.1	6 0 0
1.143	84.79	16.7	6 2 0

Cell and atoms:
Unit cell a=7.232 b=7.232 c=7.232 alpha=90.00 beta=90.00 gamma=90.00
Space group Fm-3m (No. 225)
Symmetry-distinct sites (fractional):
Tb (0.000, 0.000, 0.000) (multiplicity 4)
Cd (0.000, 0.000, 0.500) (multiplicity 4)
Hg (0.250, 0.250, 0.250) (multiplicity 8)

Question: Which formula does entry 1 have?
Answer: GdSi2Ni